Theoretical X-ray powder pattern
Compound: Tl6InHg8
Radiation: copper Kα
Structure: a DFT-relaxed cell (GGA-PBE, Alexandria)
Peak positions follow from Bragg's law for the DFT cell and can differ from measured ones.

Most intense lines, 10° ≤ 2θ ≤ 80°, in order of falling intensity:
Position (°2θ)	I (rel.)
31.3	1000
36.0	715
30.3	349
51.2	208
52.4	162
36.2	161

Cell and atoms:
a = 7.9485 Å, b = 7.9485 Å, c = 7.9485 Å
α = 71.06°, β = 71.06°, γ = 71.06°
Positions (direct):
Tl: 0.1784 0.4157 0.6264
Tl: 0.3736 0.8216 0.5843
Tl: 0.4157 0.6264 0.1784
Tl: 0.5843 0.3736 0.8216
Tl: 0.6264 0.1784 0.4157
Tl: 0.8216 0.5843 0.3736
In: 0.0000 0.0000 0.0000
Hg: 0.0478 0.8575 0.3891
Hg: 0.1425 0.6109 0.9522
Hg: 0.2289 0.2289 0.2289
Hg: 0.3891 0.0478 0.8575
Hg: 0.6109 0.9522 0.1425
Hg: 0.7711 0.7711 0.7711
Hg: 0.8575 0.3891 0.0478
Hg: 0.9522 0.1425 0.6109